[1]
# K2VCuF6
Computed powder X-ray diffraction pattern, Cu Kα (weighted mean of Kα1 and Kα2). Input: a crystal structure in Alexandria, relaxed with PBE+U.
Neutral-atom scattering factors, no anomalous dispersion.

Largest 10 diffraction maxima, sorted by position, 2θ = 10–90°:
21.4°, d = 4.158 Å, intensity 432; 29.9°, d = 2.993 Å, intensity 806; 30.0°, d = 2.978 Å, intensity 795; 30.3°, d = 2.948 Å, intensity 383; 30.5°, d = 2.933 Å, intensity 377; 42.1°, d = 2.144 Å, intensity 545; 43.5°, d = 2.079 Å, intensity 1000; 53.8°, d = 1.705 Å, intensity 275; 62.0°, d = 1.496 Å, intensity 285; 62.4°, d = 1.489 Å, intensity 280

Crystal structure
```
data_K2VCuF6
_symmetry_space_group_name_H-M 'P 1'
_symmetry_Int_Tables_number 1
_cell_length_a 5.9581
_cell_length_b 5.9581
_cell_length_c 5.8963
_cell_angle_alpha 119.31
_cell_angle_beta 119.31
_cell_angle_gamma 58.97
loop_
_symmetry_equiv_pos_as_xyz
'x,y,z'
loop_
_atom_site_label
_atom_site_type_symbol
_atom_site_fract_x
_atom_site_fract_y
_atom_site_fract_z
K1 K 0.2492 0.2492 0.2479
K2 K 0.7508 0.7508 0.7521
V1 V 0.5000 0.5000 0.0000
Cu1 Cu 0.0000 0.0000 0.5000
F1 F 0.2611 0.7390 0.2391
F2 F 0.2610 0.7389 0.7609
F3 F 0.2692 0.2692 0.7691
F4 F 0.7308 0.7308 0.2309
F5 F 0.7390 0.2611 0.2391
F6 F 0.7389 0.2610 0.7609
```

[2]
# KVCu2F8
Computed powder X-ray diffraction pattern, Cu Kα (weighted mean of Kα1 and Kα2). Input: a crystal structure in Alexandria, relaxed with PBE+U.
Neutral-atom scattering factors, no anomalous dispersion.

Largest 10 diffraction maxima, sorted by position, 2θ = 10–90°:
24.1°, d = 3.694 Å, intensity 1000; 27.3°, d = 3.271 Å, intensity 710; 28.9°, d = 3.094 Å, intensity 587; 29.5°, d = 3.032 Å, intensity 414; 31.2°, d = 2.865 Å, intensity 188; 33.7°, d = 2.662 Å, intensity 251; 48.8°, d = 1.866 Å, intensity 217; 49.4°, d = 1.846 Å, intensity 270; 50.0°, d = 1.824 Å, intensity 197; 51.7°, d = 1.767 Å, intensity 253

Crystal structure
```
data_KVCu2F8
_symmetry_space_group_name_H-M 'P 1'
_symmetry_Int_Tables_number 1
_cell_length_a 4.9747
_cell_length_b 5.0242
_cell_length_c 7.1790
_cell_angle_alpha 79.90
_cell_angle_beta 81.64
_cell_angle_gamma 81.75
loop_
_symmetry_equiv_pos_as_xyz
'x,y,z'
loop_
_atom_site_label
_atom_site_type_symbol
_atom_site_fract_x
_atom_site_fract_y
_atom_site_fract_z
K1 K 0.0000 0.0000 0.0000
V1 V 0.0000 0.0000 0.5000
Cu1 Cu 0.4657 0.4643 0.2383
Cu2 Cu 0.5343 0.5357 0.7617
F1 F 0.1774 0.7580 0.7078
F2 F 0.1899 0.7745 0.3120
F3 F 0.2916 0.2336 0.4507
F4 F 0.3737 0.3117 0.9756
F5 F 0.6263 0.6883 0.0244
F6 F 0.7084 0.7664 0.5493
F7 F 0.8101 0.2255 0.6880
F8 F 0.8226 0.2420 0.2922
```

[3]
# K3V2CuF9
Computed powder X-ray diffraction pattern, Cu Kα (weighted mean of Kα1 and Kα2). Input: a crystal structure in Alexandria, relaxed with PBE+U.
Neutral-atom scattering factors, no anomalous dispersion.

Largest 10 diffraction maxima, sorted by position, 2θ = 10–90°:
21.2°, d = 4.187 Å, intensity 268; 30.2°, d = 2.961 Å, intensity 1000; 37.2°, d = 2.417 Å, intensity 111; 43.2°, d = 2.094 Å, intensity 694; 48.6°, d = 1.873 Å, intensity 110; 53.6°, d = 1.709 Å, intensity 359; 62.8°, d = 1.480 Å, intensity 376; 71.2°, d = 1.324 Å, intensity 148; 79.3°, d = 1.209 Å, intensity 111; 87.1°, d = 1.119 Å, intensity 167

Crystal structure
```
data_K3V2CuF9
_symmetry_space_group_name_H-M 'P 1'
_symmetry_Int_Tables_number 1
_cell_length_a 5.9200
_cell_length_b 5.9200
_cell_length_c 7.2564
_cell_angle_alpha 90.00
_cell_angle_beta 90.00
_cell_angle_gamma 120.00
loop_
_symmetry_equiv_pos_as_xyz
'x,y,z'
loop_
_atom_site_label
_atom_site_type_symbol
_atom_site_fract_x
_atom_site_fract_y
_atom_site_fract_z
K1 K 0.0000 0.0000 0.0000
K2 K 0.3333 0.6667 0.6498
K3 K 0.6667 0.3333 0.3502
V1 V 0.3333 0.6667 0.1636
V2 V 0.6667 0.3333 0.8364
Cu1 Cu 0.0000 0.0000 0.5000
F1 F 0.0000 0.5000 0.0000
F2 F 0.1701 0.3402 0.3254
F3 F 0.1701 0.8299 0.3254
F4 F 0.3402 0.1701 0.6746
F5 F 0.5000 0.0000 0.0000
F6 F 0.5000 0.5000 0.0000
F7 F 0.6598 0.8299 0.3254
F8 F 0.8299 0.1701 0.6746
F9 F 0.8299 0.6598 0.6746
```

Please write out number 2 again, unchanged.
# KVCu2F8
Computed powder X-ray diffraction pattern, Cu Kα (weighted mean of Kα1 and Kα2). Input: a crystal structure in Alexandria, relaxed with PBE+U.
Neutral-atom scattering factors, no anomalous dispersion.

Largest 10 diffraction maxima, sorted by position, 2θ = 10–90°:
24.1°, d = 3.694 Å, intensity 1000; 27.3°, d = 3.271 Å, intensity 710; 28.9°, d = 3.094 Å, intensity 587; 29.5°, d = 3.032 Å, intensity 414; 31.2°, d = 2.865 Å, intensity 188; 33.7°, d = 2.662 Å, intensity 251; 48.8°, d = 1.866 Å, intensity 217; 49.4°, d = 1.846 Å, intensity 270; 50.0°, d = 1.824 Å, intensity 197; 51.7°, d = 1.767 Å, intensity 253

Crystal structure
```
data_KVCu2F8
_symmetry_space_group_name_H-M 'P 1'
_symmetry_Int_Tables_number 1
_cell_length_a 4.9747
_cell_length_b 5.0242
_cell_length_c 7.1790
_cell_angle_alpha 79.90
_cell_angle_beta 81.64
_cell_angle_gamma 81.75
loop_
_symmetry_equiv_pos_as_xyz
'x,y,z'
loop_
_atom_site_label
_atom_site_type_symbol
_atom_site_fract_x
_atom_site_fract_y
_atom_site_fract_z
K1 K 0.0000 0.0000 0.0000
V1 V 0.0000 0.0000 0.5000
Cu1 Cu 0.4657 0.4643 0.2383
Cu2 Cu 0.5343 0.5357 0.7617
F1 F 0.1774 0.7580 0.7078
F2 F 0.1899 0.7745 0.3120
F3 F 0.2916 0.2336 0.4507
F4 F 0.3737 0.3117 0.9756
F5 F 0.6263 0.6883 0.0244
F6 F 0.7084 0.7664 0.5493
F7 F 0.8101 0.2255 0.6880
F8 F 0.8226 0.2420 0.2922
```